Diffraction record for Pr3Sm2Se8. The XRD peak list is theoretical, not measured: it uses the PBE geometry in Alexandria and Cu Kα X-rays.

Main lines, low angle first (2θ from 10° to 90°):
two_theta	d [Å]	Rel. int.
19.4	4.565	591
21.9	4.066	433
25.6	3.479	562
32.4	2.765	1000
33.2	2.699	451
39.3	2.295	749
42.3	2.138	363
43.1	2.101	702

Cell and atoms:
Cell lengths 8.5100, 8.5100, 7.2377 Å; angles 107.41, 107.41, 60.32 degrees
Element x y z (fractional)
Pr  0.0000  0.0000  0.0000
Pr  0.2632  0.7368  0.5000
Pr  0.7368  0.2632  0.5000
Sm  0.2600  0.2600  0.8430
Sm  0.7400  0.7400  0.1570
Se  0.1093  0.6373  0.0825
Se  0.1208  0.1208  0.4324
Se  0.3627  0.8907  0.9175
Se  0.3790  0.3790  0.5979
Se  0.6210  0.6210  0.4021
Se  0.6373  0.1093  0.0825
Se  0.8792  0.8792  0.5676
Se  0.8907  0.3627  0.9175